Starting from DFT lattice parameters and positions (PBE), the powder diffractogram of NaLiLa2Ti4O12 was computed for copper Kα.

Most intense lines, 2θ from 10° to 80°, in order of falling intensity:
- 2θ 16.3, rel. 100, hkl 1 0 0
- 2θ 32.4, rel. 53, hkl -1 1 2
- 2θ 32.9, rel. 51, hkl 2 0 0
- 2θ 32.4, rel. 29, hkl 1 -1 2
- 2θ 32.0, rel. 27, hkl 1 1 2
- 2θ 27.6, rel. 26, hkl 0 1 2
- 2θ 27.8, rel. 24, hkl 1 0 -2
- 2θ 45.4, rel. 22, hkl 0 0 4
- 2θ 46.9, rel. 21, hkl 2 2 0
- 2θ 47.5, rel. 18, hkl 2 -2 0
- 2θ 36.7, rel. 18, hkl 1 2 0
- 2θ 43.6, rel. 17, hkl 2 -1 2

```
data_NaLiLa2Ti4O12
_chemical_formula_sum 'Na1 Li1 La2 Ti4 O12'
_space_group_name_H-M_alt 'P 1'
_space_group_IT_number 1
_cell_length_a 5.446
_cell_length_b 5.447
_cell_length_c 7.995
_cell_angle_alpha 89.31
_cell_angle_beta 89.57
_cell_angle_gamma 89.38
loop_
_space_group_symop_operation_xyz
'x,y,z'
loop_
_atom_site_label
_atom_site_type_symbol
_atom_site_fract_x
_atom_site_fract_y
_atom_site_fract_z
Na1 Na 0.000 0.000 0.000
Li1 Li 0.055 0.063 0.560
La1 La 0.503 0.497 0.985
La2 La 0.526 0.517 0.480
Ti1 Ti 0.009 0.524 0.736
Ti2 Ti 0.014 0.499 0.242
Ti3 Ti 0.502 0.009 0.241
Ti4 Ti 0.516 0.008 0.738
O1 O 0.050 0.437 0.468
O2 O 0.240 0.224 0.759
O3 O 0.246 0.234 0.168
O4 O 0.291 0.713 0.219
O5 O 0.321 0.706 0.719
O6 O 0.450 0.039 0.468
O7 O 0.561 0.961 0.964
O8 O 0.725 0.304 0.719
O9 O 0.727 0.276 0.216
O10 O 0.766 0.753 0.260
O11 O 0.809 0.795 0.663
O12 O 0.975 0.555 0.963
```



Starting from DFT lattice parameters and positions (PBE), the powder diffractogram of NaLiLa2Ti4O12 was computed for copper Kα.

Most intense lines, 2θ from 10° to 80°, in order of falling intensity:
- 2θ 32.4, rel. 100, hkl 2 2 0
- 2θ 16.0, rel. 68, hkl 1 1 0
- 2θ 28.0, rel. 33, hkl 1 1 1
- 2θ 46.3, rel. 30, hkl 4 0 0
- 2θ 57.7, rel. 25, hkl 4 2 1
- 2θ 43.2, rel. 24, hkl 3 1 1
- 2θ 39.9, rel. 19, hkl 2 2 1
- 2θ 67.8, rel. 17, hkl 4 0 2
- 2θ 36.3, rel. 15, hkl 3 1 0
- 2θ 46.5, rel. 15, hkl 0 0 2
- 2θ 57.8, rel. 13, hkl 2 2 2
- 2θ 77.0, rel. 11, hkl 6 2 0

```
data_NaLiLa2Ti4O12
_chemical_formula_sum 'Na1 Li1 La2 Ti4 O12'
_space_group_name_H-M_alt 'P 4/m m m'
_space_group_IT_number 123
_space_group_name_Hall '-P 4 2'
_cell_length_a 7.836
_cell_length_b 7.836
_cell_length_c 3.904
_cell_angle_alpha 90.00
_cell_angle_beta 90.00
_cell_angle_gamma 90.00
loop_
_atom_site_label
_atom_site_type_symbol
_atom_site_fract_x
_atom_site_fract_y
_atom_site_fract_z
Na1 Na 0.000 0.000 0.000
Li1 Li 0.500 0.500 0.500
La1 La 0.000 0.500 0.000
Ti1 Ti 0.249 0.249 0.500
O1 O 0.000 0.270 0.500
O2 O 0.240 0.240 0.000
O3 O 0.246 0.500 0.500
```



Starting from DFT lattice parameters and positions (PBE), the powder diffractogram of NaLiLa2S4 was computed for copper Kα.

Most intense lines, 2θ from 10° to 80°, in order of falling intensity:
- 2θ 30.6, rel. 100, hkl 2 2 0
- 2θ 13.1, rel. 81, hkl 1 0 1
- 2θ 43.8, rel. 47, hkl 2 2 4
- 2θ 25.2, rel. 36, hkl 1 2 1
- 2θ 72.3, rel. 20, hkl 4 4 4
- 2θ 26.3, rel. 14, hkl 0 2 2
- 2θ 26.5, rel. 14, hkl 2 0 2
- 2θ 25.3, rel. 14, hkl 2 1 1
- 2θ 54.2, rel. 12, hkl 0 4 4
- 2θ 54.5, rel. 12, hkl 4 0 4
- 2θ 43.6, rel. 12, hkl 0 4 0
- 2θ 33.3, rel. 12, hkl 1 2 3

```
data_NaLiLa2S4
_chemical_formula_sum 'Na4 Li4 La8 S16'
_space_group_name_H-M_alt 'I m m a'
_space_group_IT_number 74
_space_group_name_Hall '-I 2b 2'
_cell_length_a 8.230
_cell_length_b 8.299
_cell_length_c 11.700
_cell_angle_alpha 90.00
_cell_angle_beta 90.00
_cell_angle_gamma 90.00
loop_
_atom_site_label
_atom_site_type_symbol
_atom_site_fract_x
_atom_site_fract_y
_atom_site_fract_z
Na1 Na 0.250 0.250 0.250
Li1 Li 0.000 0.000 0.000
La1 La 0.000 0.000 0.500
La2 La 0.250 0.250 0.750
S1 S 0.000 0.008 0.748
S2 S 0.247 0.250 0.504
```



Starting from DFT lattice parameters and positions (PBE), the powder diffractogram of LiLaNb4O12 was computed for copper Kα.

Most intense lines, 2θ from 10° to 80°, in order of falling intensity:
- 2θ 31.7, rel. 100, hkl 1 1 4
- 2θ 22.4, rel. 59, hkl 1 1 0
- 2θ 31.9, rel. 50, hkl 2 0 0
- 2θ 45.7, rel. 43, hkl 2 2 0
- 2θ 16.7, rel. 42, hkl 1 0 1
- 2θ 56.7, rel. 39, hkl 3 1 4
- 2θ 11.0, rel. 30, hkl 0 0 2
- 2θ 22.2, rel. 29, hkl 0 0 4
- 2θ 66.2, rel. 25, hkl 2 2 8
- 2θ 25.0, rel. 23, hkl 1 1 2
- 2θ 56.4, rel. 21, hkl 2 0 8
- 2θ 45.2, rel. 21, hkl 0 0 8

```
data_LiLaNb4O12
_chemical_formula_sum 'Li2 La2 Nb8 O24'
_space_group_name_H-M_alt 'I 4/m m m'
_space_group_IT_number 139
_space_group_name_Hall '-I 4 2'
_cell_length_a 5.617
_cell_length_b 5.617
_cell_length_c 16.052
_cell_angle_alpha 90.00
_cell_angle_beta 90.00
_cell_angle_gamma 90.00
loop_
_atom_site_label
_atom_site_type_symbol
_atom_site_fract_x
_atom_site_fract_y
_atom_site_fract_z
Li1 Li 0.000 0.000 0.000
La1 La 0.000 0.000 0.500
Nb1 Nb 0.000 0.500 0.129
O1 O 0.000 0.500 0.000
O2 O 0.000 0.500 0.250
O3 O 0.244 0.244 0.386
```



Starting from DFT lattice parameters and positions (PBE), the powder diffractogram of Li4La5Ti6Nb2O26 was computed for copper Kα.

Most intense lines, 2θ from 10° to 80°, in order of falling intensity:
- 2θ 32.7, rel. 100, hkl 1 9 1
- 2θ 10.3, rel. 81, hkl 0 4 0
- 2θ 26.2, rel. 63, hkl 1 5 1
- 2θ 32.3, rel. 61, hkl 2 0 0
- 2θ 46.4, rel. 50, hkl 2 0 2
- 2θ 57.9, rel. 39, hkl 3 9 1
- 2θ 29.1, rel. 28, hkl 1 7 1
- 2θ 41.9, rel. 27, hkl 0 16 0
- 2θ 68.6, rel. 20, hkl 2 18 2
- 2θ 38.7, rel. 19, hkl 2 8 0
- 2θ 54.0, rel. 16, hkl 3 5 1
- 2θ 47.5, rel. 16, hkl 0 18 0

```
data_Li4La5Ti6Nb2O26
_chemical_formula_sum 'Li8 La10 Ti12 Nb4 O52'
_space_group_name_H-M_alt 'C m m m'
_space_group_IT_number 65
_space_group_name_Hall '-C 2 2'
_cell_length_a 5.533
_cell_length_b 34.458
_cell_length_c 5.538
_cell_angle_alpha 90.00
_cell_angle_beta 90.00
_cell_angle_gamma 90.00
loop_
_atom_site_label
_atom_site_type_symbol
_atom_site_fract_x
_atom_site_fract_y
_atom_site_fract_z
Li1 Li 0.250 0.250 0.242
La1 La 0.000 0.000 0.000
La2 La 0.000 0.115 0.000
La3 La 0.000 0.386 0.500
Ti1 Ti 0.000 0.055 0.500
Ti2 Ti 0.000 0.323 0.000
Ti3 Ti 0.000 0.444 0.000
Nb1 Nb 0.000 0.177 0.500
O1 O 0.000 0.000 0.500
O2 O 0.000 0.113 0.500
O3 O 0.000 0.232 0.500
O4 O 0.000 0.271 0.000
O5 O 0.000 0.387 0.000
O6 O 0.000 0.500 0.000
O7 O 0.240 0.059 0.241
O8 O 0.248 0.334 0.249
```



Starting from DFT lattice parameters and positions (PBE), the powder diffractogram of Li3La5Ti6Nb2O26 was computed for copper Kα.

Most intense lines, 2θ from 10° to 80°, in order of falling intensity:
- 2θ 32.7, rel. 100, hkl 2 0 -1
- 2θ 32.3, rel. 82, hkl 1 1 4
- 2θ 32.4, rel. 81, hkl 1 1 -5
- 2θ 46.9, rel. 73, hkl 2 2 -1
- 2θ 26.2, rel. 55, hkl 1 1 -3
- 2θ 26.1, rel. 48, hkl 1 1 2
- 2θ 46.0, rel. 30, hkl 0 0 9
- 2θ 77.9, rel. 23, hkl 4 2 -2
- 2θ 28.9, rel. 23, hkl 1 1 3
- 2θ 68.4, rel. 20, hkl 4 0 -2
- 2θ 58.0, rel. 18, hkl 1 3 4
- 2θ 54.5, rel. 18, hkl 3 1 -4

```
data_Li3La5Ti6Nb2O26
_chemical_formula_sum 'Li3 La5 Ti6 Nb2 O26'
_space_group_name_H-M_alt 'P 1 2 1'
_space_group_IT_number 3
_cell_length_a 5.483
_cell_length_b 5.483
_cell_length_c 17.965
_cell_angle_alpha 90.00
_cell_angle_beta 98.36
_cell_angle_gamma 90.00
loop_
_space_group_symop_operation_xyz
'x,y,z'
'-x,y,-z'
loop_
_atom_site_label
_atom_site_type_symbol
_atom_site_fract_x
_atom_site_fract_y
_atom_site_fract_z
Li1 Li 0.000 0.000 0.000
Li2 Li 0.000 0.490 0.000
Li3 Li 0.500 0.461 0.000
La1 La 0.123 0.741 0.727
La2 La 0.382 0.249 0.273
La3 La 0.500 0.243 0.500
Ti1 Ti 0.063 0.257 0.609
Ti2 Ti 0.171 0.246 0.852
Ti3 Ti 0.439 0.750 0.391
Nb1 Nb 0.326 0.744 0.147
O1 O 0.000 0.214 0.500
O2 O 0.080 0.503 0.175
O3 O 0.096 0.002 0.179
O4 O 0.118 0.280 0.719
O5 O 0.157 0.957 0.372
O6 O 0.197 0.255 0.951
O7 O 0.250 0.732 0.044
O8 O 0.254 0.440 0.392
O9 O 0.262 0.532 0.606
O10 O 0.358 0.045 0.617
O11 O 0.403 0.990 0.826
O12 O 0.418 0.711 0.280
O13 O 0.424 0.484 0.837
O14 O 0.500 0.781 0.500
```



Starting from DFT lattice parameters and positions (PBE), the powder diffractogram of Li2La3NdSb2O12 was computed for copper Kα.

Most intense lines, 2θ from 10° to 80°, in order of falling intensity:
- 2θ 31.2, rel. 100, hkl 1 -1 2
- 2θ 31.5, rel. 99, hkl 1 1 -2
- 2θ 31.8, rel. 48, hkl 2 0 0
- 2θ 18.8, rel. 45, hkl 0 1 1
- 2θ 44.7, rel. 43, hkl 2 -2 0
- 2θ 30.6, rel. 42, hkl 0 2 0
- 2θ 56.6, rel. 35, hkl 2 0 -4
- 2θ 45.2, rel. 29, hkl 0 0 4
- 2θ 19.3, rel. 29, hkl 1 0 -1
- 2θ 56.1, rel. 24, hkl 3 -1 2
- 2θ 21.9, rel. 24, hkl 1 -1 0
- 2θ 50.9, rel. 23, hkl 1 -3 1

```
data_Li2La3NdSb2O12
_chemical_formula_sum 'Li2 La3 Nd1 Sb2 O12'
_space_group_name_H-M_alt 'P 1'
_space_group_IT_number 1
_cell_length_a 5.631
_cell_length_b 5.844
_cell_length_c 8.032
_cell_angle_alpha 89.98
_cell_angle_beta 89.44
_cell_angle_gamma 89.88
loop_
_space_group_symop_operation_xyz
'x,y,z'
loop_
_atom_site_label
_atom_site_type_symbol
_atom_site_fract_x
_atom_site_fract_y
_atom_site_fract_z
Li1 Li 0.000 0.000 0.000
Li2 Li 0.493 0.502 0.495
La1 La 0.011 0.444 0.748
La2 La 0.483 0.946 0.747
La3 La 0.981 0.553 0.245
Nd1 Nd 0.514 0.059 0.250
Sb1 Sb 0.494 0.499 0.999
Sb2 Sb 0.999 0.998 0.495
O1 O 0.104 0.964 0.257
O2 O 0.184 0.712 0.552
O3 O 0.204 0.688 0.950
O4 O 0.286 0.188 0.544
O5 O 0.307 0.214 0.943
O6 O 0.397 0.460 0.239
O7 O 0.594 0.534 0.759
O8 O 0.678 0.785 0.055
O9 O 0.710 0.810 0.445
O10 O 0.780 0.305 0.048
O11 O 0.807 0.280 0.439
O12 O 0.900 0.032 0.736
```



Starting from DFT lattice parameters and positions (PBE), the powder diffractogram of Li2LaNd2Sn2 was computed for copper Kα.

Most intense lines, 2θ from 10° to 80°, in order of falling intensity:
- 2θ 33.2, rel. 100, hkl 0 1 8
- 2θ 36.8, rel. 92, hkl 1 1 0
- 2θ 30.8, rel. 83, hkl 1 0 7
- 2θ 21.2, rel. 77, hkl 1 0 1
- 2θ 62.6, rel. 57, hkl 1 1 15
- 2θ 48.7, rel. 36, hkl 0 0 15
- 2θ 50.4, rel. 33, hkl 2 0 8
- 2θ 64.0, rel. 31, hkl 1 2 8
- 2θ 66.3, rel. 17, hkl 3 0 0
- 2θ 78.3, rel. 13, hkl 2 2 0
- 2θ 56.9, rel. 12, hkl 1 0 16
- 2θ 42.9, rel. 12, hkl 0 2 1

```
data_Li2LaNd2Sn2
_chemical_formula_sum 'Li6 La3 Nd6 Sn6'
_space_group_name_H-M_alt 'R -3 m'
_space_group_IT_number 166
_space_group_name_Hall '-R 3 2"'
_cell_length_a 4.8831
_cell_length_b 4.8831
_cell_length_c 28.0248
_cell_angle_alpha 90.00
_cell_angle_beta 90.00
_cell_angle_gamma 120.00
loop_
_atom_site_label
_atom_site_type_symbol
_atom_site_fract_x
_atom_site_fract_y
_atom_site_fract_z
Li1 Li 0.0000 0.0000 0.0920
La1 La 0.0000 0.0000 0.5000
Nd1 Nd 0.0000 0.0000 0.3696
Sn1 Sn 0.0000 0.0000 0.2384
```



Starting from DFT lattice parameters and positions (PBE), the powder diffractogram of Li3La2Ni2 was computed for copper Kα.

Most intense lines, 2θ from 10° to 80°, in order of falling intensity:
- 2θ 34.9, rel. 100, hkl 1 3 1
- 2θ 38.9, rel. 53, hkl 1 5 1
- 2θ 34.4, rel. 43, hkl 0 6 1
- 2θ 25.6, rel. 33, hkl 1 3 0
- 2θ 32.8, rel. 29, hkl 1 1 1
- 2θ 44.4, rel. 29, hkl 1 9 0
- 2θ 25.0, rel. 27, hkl 0 6 0
- 2θ 28.7, rel. 23, hkl 0 4 1
- 2θ 58.3, rel. 19, hkl 2 6 1
- 2θ 37.1, rel. 17, hkl 1 7 0
- 2θ 45.6, rel. 17, hkl 2 0 0
- 2θ 67.1, rel. 16, hkl 1 9 2

```
data_Li3La2Ni2
_chemical_formula_sum 'Li6 La4 Ni4'
_space_group_name_H-M_alt 'C m m m'
_space_group_IT_number 65
_space_group_name_Hall '-C 2 2'
_cell_length_a 3.983
_cell_length_b 21.393
_cell_length_c 3.818
_cell_angle_alpha 90.00
_cell_angle_beta 90.00
_cell_angle_gamma 90.00
loop_
_atom_site_label
_atom_site_type_symbol
_atom_site_fract_x
_atom_site_fract_y
_atom_site_fract_z
Li1 Li 0.000 0.000 0.000
Li2 Li 0.000 0.431 0.500
La1 La 0.000 0.172 0.000
Ni1 Ni 0.000 0.285 0.500
```



Starting from DFT lattice parameters and positions (PBE), the powder diffractogram of LiLaNi10 was computed for copper Kα.

Most intense lines, 2θ from 10° to 80°, in order of falling intensity:
- 2θ 43.6, rel. 100, hkl 1 1 3
- 2θ 43.8, rel. 52, hkl 1 2 0
- 2θ 45.5, rel. 52, hkl 2 0 0
- 2θ 49.1, rel. 38, hkl 1 2 2
- 2θ 30.9, rel. 30, hkl 1 1 1
- 2θ 43.2, rel. 30, hkl 0 2 2
- 2θ 21.2, rel. 27, hkl 0 0 2
- 2θ 10.5, rel. 26, hkl 0 0 1
- 2θ 71.6, rel. 21, hkl 1 3 3
- 2θ 28.1, rel. 20, hkl 0 1 2
- 2θ 37.0, rel. 20, hkl 0 1 3
- 2θ 36.2, rel. 19, hkl 1 1 2

```
data_LiLaNi10
_chemical_formula_sum 'Li1 La1 Ni10'
_space_group_name_H-M_alt 'P m m m'
_space_group_IT_number 47
_cell_length_a 3.991
_cell_length_b 4.832
_cell_length_c 8.421
_cell_angle_alpha 90.00
_cell_angle_beta 90.00
_cell_angle_gamma 90.00
loop_
_space_group_symop_operation_xyz
'x,y,z'
'-x,-y,-z'
'-x,-y,z'
'x,y,-z'
'x,-y,-z'
'-x,y,z'
'-x,y,-z'
'x,-y,z'
loop_
_atom_site_label
_atom_site_type_symbol
_atom_site_fract_x
_atom_site_fract_y
_atom_site_fract_z
Li1 Li 0.000 0.000 0.000
La1 La 0.000 0.500 0.500
Ni1 Ni 0.000 0.000 0.312
Ni2 Ni 0.000 0.500 0.154
Ni3 Ni 0.500 0.000 0.500
Ni4 Ni 0.500 0.248 0.243
Ni5 Ni 0.500 0.500 0.000
```



Starting from DFT lattice parameters and positions (PBE), the powder diffractogram of LiLa2Ni16 was computed for copper Kα.

Most intense lines, 2θ from 10° to 80°, in order of falling intensity:
- 2θ 43.4, rel. 100, hkl 3 0 3
- 2θ 42.9, rel. 52, hkl 2 2 0
- 2θ 44.7, rel. 44, hkl 0 0 6
- 2θ 30.6, rel. 34, hkl 1 1 3
- 2θ 36.9, rel. 29, hkl 3 0 0
- 2θ 48.7, rel. 28, hkl 2 2 3
- 2θ 38.5, rel. 21, hkl 0 2 4
- 2θ 63.7, rel. 18, hkl 2 2 6
- 2θ 78.6, rel. 15, hkl 6 0 0
- 2θ 71.0, rel. 15, hkl 3 3 3
- 2θ 62.7, rel. 14, hkl 1 4 3
- 2θ 44.3, rel. 11, hkl 2 1 4

```
data_LiLa2Ni16
_chemical_formula_sum 'Li3 La6 Ni48'
_space_group_name_H-M_alt 'R 3 m'
_space_group_IT_number 160
_space_group_name_Hall 'R 3 -2"'
_cell_length_a 8.4303
_cell_length_b 8.4303
_cell_length_c 12.1596
_cell_angle_alpha 90.00
_cell_angle_beta 90.00
_cell_angle_gamma 120.00
loop_
_atom_site_label
_atom_site_type_symbol
_atom_site_fract_x
_atom_site_fract_y
_atom_site_fract_z
Li1 Li 0.0000 0.0000 0.0000
La1 La 0.0000 0.0000 0.2487
La2 La 0.0000 0.0000 0.5661
Ni1 Ni 0.0000 0.0000 0.8109
Ni2 Ni 0.0001 0.2913 0.9067
Ni3 Ni 0.0030 0.5015 0.7505
Ni4 Ni 0.0048 0.5024 0.4068
Ni5 Ni 0.1687 0.3374 0.3957
```